Computed powder X-ray diffraction pattern
Compound: BaTm2Mo4O16
Radiation: Cu Kα (λ = 1.5418 Å)
Structure: DFT lattice parameters and positions (GGA+U)
Intensities are scaled so that the largest is 100.

Atomic structure:
a = 6.8090 Å, b = 6.8090 Å, c = 20.0019 Å
α = 90.91°, β = 90.91°, γ = 134.78°
Fractional coordinates of all 46 atoms:
Ba (0.0301, 0.9699, 0.7500)
Ba (0.9699, 0.0301, 0.2500)
Tm (0.1451, 0.8484, 0.5301)
Tm (0.1516, 0.8550, 0.9699)
Tm (0.8484, 0.1451, 0.0301)
Tm (0.8550, 0.1516, 0.4699)
Mo (0.2577, 0.7413, 0.1430)
Mo (0.2587, 0.7423, 0.3570)
Mo (0.4266, 0.5469, 0.9110)
Mo (0.4531, 0.5734, 0.5890)
Mo (0.5469, 0.4266, 0.4110)
Mo (0.5734, 0.4531, 0.0890)
Mo (0.7413, 0.2577, 0.6430)
Mo (0.7423, 0.2587, 0.8570)
O (0.0067, 0.7374, 0.1688)
O (0.0560, 0.5804, 0.4352)
O (0.0779, 0.3818, 0.1280)
O (0.1055, 0.4911, 0.2923)
O (0.1627, 0.5043, 0.9586)
O (0.2170, 0.2534, 0.5350)
O (0.2221, 0.3246, 0.4020)
O (0.2534, 0.2170, 0.0350)
O (0.2626, 0.9933, 0.3312)
O (0.3006, 0.4642, 0.6669)
O (0.3246, 0.2221, 0.9020)
O (0.3818, 0.0779, 0.6280)
O (0.4196, 0.9440, 0.0648)
O (0.4642, 0.3006, 0.1669)
O (0.4911, 0.1055, 0.7923)
O (0.4957, 0.8373, 0.5414)
O (0.5043, 0.1627, 0.4586)
O (0.5089, 0.8945, 0.2077)
O (0.5358, 0.6994, 0.8331)
O (0.5804, 0.0560, 0.9352)
O (0.6182, 0.9221, 0.3720)
O (0.6754, 0.7779, 0.0980)
O (0.6994, 0.5358, 0.3331)
O (0.7374, 0.0067, 0.6688)
O (0.7466, 0.7830, 0.9650)
O (0.7779, 0.6754, 0.5980)
O (0.7830, 0.7466, 0.4650)
O (0.8373, 0.4957, 0.0414)
O (0.8945, 0.5089, 0.7077)
O (0.9221, 0.6182, 0.8720)
O (0.9440, 0.4196, 0.5648)
O (0.9933, 0.2626, 0.8312)

Principal peaks in the range 2θ from 5° to 70°, sorted by position:
8.85 deg, I 100
25.15 deg, I 45
26.15 deg, I 46
27.52 deg, I 30
27.75 deg, I 32
28.46 deg, I 92
28.94 deg, I 39
29.55 deg, I 39
30.37 deg, I 31
34.28 deg, I 33